Entry 1:
Simulated PXRD pattern
Compound: LiFeF3
Radiation: copper Kα
Structure: DFT lattice parameters and positions (PBE+U)
Intensities are scaled so that the largest is 100.

Cell and atoms:
```
LiFeF3
1.0
1.580 -7.372 0.000
1.580 7.372 0.000
0.000 0.000 5.023
Li Fe F
2 2 6
Direct
0.031 0.969 0.500 Li
0.969 0.031 0.000 Li
0.332 0.668 0.531 Fe
0.668 0.332 0.031 Fe
0.097 0.903 0.831 F
0.229 0.771 0.257 F
0.439 0.561 0.783 F
0.561 0.439 0.283 F
0.771 0.229 0.757 F
0.903 0.097 0.331 F
```

Peak list (10 most intense, 15 to 90 degrees two-theta, in order of rising 2θ)
two_theta	Rel. int.
21.4	100.0
30.1	39.4
33.7	18.0
34.1	40.9
38.3	39.0
45.8	19.0
50.0	40.2
52.1	25.7
55.5	18.1
64.0	13.9

Entry 2:
Simulated PXRD pattern
Compound: Li4FeF8
Radiation: copper Kα
Structure: DFT lattice parameters and positions (PBE+U)
Intensities are scaled so that the largest is 100.

Cell and atoms:
```
Li4FeF8
1.0
9.627 0.000 0.000
0.000 9.872 0.000
0.000 0.000 5.655
Li Fe F
16 4 32
Direct
0.117 0.076 0.123 Li
0.117 0.424 0.123 Li
0.131 0.055 0.625 Li
0.131 0.445 0.625 Li
0.369 0.555 0.125 Li
0.369 0.945 0.125 Li
0.383 0.576 0.623 Li
0.383 0.924 0.623 Li
0.617 0.076 0.377 Li
0.617 0.424 0.377 Li
0.631 0.055 0.875 Li
0.631 0.445 0.875 Li
0.869 0.555 0.375 Li
0.869 0.945 0.375 Li
0.883 0.576 0.877 Li
0.883 0.924 0.877 Li
0.109 0.750 0.365 Fe
0.391 0.250 0.865 Fe
0.609 0.750 0.135 Fe
0.891 0.250 0.635 Fe
0.017 0.617 0.150 F
0.017 0.624 0.597 F
0.017 0.876 0.597 F
0.017 0.883 0.150 F
0.232 0.250 0.087 F
0.234 0.250 0.646 F
0.244 0.508 0.372 F
0.244 0.992 0.372 F
0.256 0.008 0.872 F
0.256 0.492 0.872 F
0.266 0.750 0.146 F
0.268 0.750 0.587 F
0.483 0.117 0.650 F
0.483 0.124 0.097 F
0.483 0.376 0.097 F
0.483 0.383 0.650 F
0.517 0.617 0.350 F
0.517 0.624 0.903 F
0.517 0.876 0.903 F
0.517 0.883 0.350 F
0.732 0.250 0.413 F
0.734 0.250 0.854 F
0.744 0.508 0.128 F
0.744 0.992 0.128 F
0.756 0.008 0.628 F
0.756 0.492 0.628 F
0.766 0.750 0.354 F
0.768 0.750 0.913 F
0.983 0.117 0.850 F
0.983 0.124 0.403 F
0.983 0.376 0.403 F
0.983 0.383 0.850 F
```

Peak list (10 most intense, 15 to 90 degrees two-theta, in order of rising 2θ)
two_theta	Rel. int.
18.1	100.0
18.2	48.8
20.3	49.7
20.5	64.0
24.3	33.5
30.4	28.9
41.1	68.4
43.2	49.7
43.6	49.2
46.6	85.9

Please write out number 1 again, unchanged.
Simulated PXRD pattern
Compound: LiFeF3
Radiation: copper Kα
Structure: DFT lattice parameters and positions (PBE+U)
Intensities are scaled so that the largest is 100.

Cell and atoms:
```
LiFeF3
1.0
1.580 -7.372 0.000
1.580 7.372 0.000
0.000 0.000 5.023
Li Fe F
2 2 6
Direct
0.031 0.969 0.500 Li
0.969 0.031 0.000 Li
0.332 0.668 0.531 Fe
0.668 0.332 0.031 Fe
0.097 0.903 0.831 F
0.229 0.771 0.257 F
0.439 0.561 0.783 F
0.561 0.439 0.283 F
0.771 0.229 0.757 F
0.903 0.097 0.331 F
```

Peak list (10 most intense, 15 to 90 degrees two-theta, in order of rising 2θ)
two_theta	Rel. int.
21.4	100.0
30.1	39.4
33.7	18.0
34.1	40.9
38.3	39.0
45.8	19.0
50.0	40.2
52.1	25.7
55.5	18.1
64.0	13.9

Which formula does entry 2 have? Li4FeF8